Starting from DFT lattice parameters and positions (GGA+U), the powder X-ray diffraction pattern of MgMnO2 was simulated for a wavelength of 1.5418 Å.
Kinematic intensities with the Lorentz-polarization factor, no thermal factor.

Largest 10 diffraction maxima, sorted by position, 2θ = 5–70°:
2θ/deg	intensity
18.69	20.0
33.64	24.1
33.86	15.5
34.41	16.5
34.76	49.4
37.93	16.4
42.77	100.0
48.89	34.2
56.01	30.8
60.17	44.8

Cell and atoms:
```
16
Lattice="10.4237 0.0000 0.0000 0.0000 3.0729 0.0000 0.0000 0.0000 5.3327" Properties=species:S:1:pos:R:3 pbc="T T T"
Mg 1.2748 0.7682 0.4211
Mg 3.9371 2.3047 3.0874
Mg 6.4866 0.7682 2.2453
Mg 9.1490 2.3047 4.9117
Mn 1.2648 2.3047 3.0982
Mn 3.9471 0.7682 0.4319
Mn 6.4767 2.3047 4.9009
Mn 9.1589 0.7682 2.2345
O 0.0624 2.3047 1.2528
O 2.5674 2.3047 4.8642
O 2.6445 0.7682 2.1978
O 5.1495 0.7682 3.9192
O 5.2742 2.3047 1.4136
O 7.7793 2.3047 3.1349
O 7.8563 0.7682 0.4685
O 10.3614 0.7682 4.0799
```

***

Starting from DFT lattice parameters and positions (GGA+U), the powder X-ray diffraction pattern of CoCuP2O8 was simulated for a wavelength of 1.5418 Å.
Kinematic intensities with the Lorentz-polarization factor, no thermal factor.

Largest 10 diffraction maxima, sorted by position, 2θ = 5–70°:
2θ/deg	intensity
17.78	70.8
19.32	100.0
20.51	32.9
24.30	32.0
25.49	42.1
28.67	27.7
30.24	98.6
36.12	32.1
36.85	43.4
39.19	41.1

Cell and atoms:
```
24
Lattice="4.9952 0.0000 0.0000 0.0000 5.9147 0.0000 -0.7390 0.0000 9.9775" Properties=species:S:1:pos:R:3 pbc="T T T"
Co 0.0814 1.4787 2.8865
Co 4.1749 4.4360 7.0911
Cu 1.2404 1.4787 8.0174
Cu 3.0158 4.4360 1.9601
P 0.1825 4.4360 3.9787
P 1.5304 4.4360 8.9447
P 2.7258 1.4787 1.0328
P 4.0738 1.4787 5.9988
O 0.3612 4.4360 5.4963
O 0.6129 1.4787 6.2874
O 0.8410 3.1838 3.3255
O 0.8410 5.6882 3.3255
O 1.2297 1.4787 1.2365
O 0.7254 3.2842 8.2236
O 0.7254 5.5878 8.2236
O 1.9080 4.4360 0.4740
O 2.3483 1.4787 9.5036
O 3.5309 0.3269 1.7539
O 3.5309 2.6305 1.7539
O 3.0266 4.4360 8.7411
O 3.4153 0.2265 6.6521
O 3.4153 2.7309 6.6521
O 3.6433 4.4360 3.6901
O 3.8951 1.4787 4.4813
```

***

Starting from DFT lattice parameters and positions (GGA+U), the powder X-ray diffraction pattern of MgMn6O7F5 was simulated for a wavelength of 1.5418 Å.
Kinematic intensities with the Lorentz-polarization factor, no thermal factor.

Largest 10 diffraction maxima, sorted by position, 2θ = 5–70°:
2θ/deg	intensity
24.15	100.0
26.65	69.2
32.95	23.6
34.10	25.3
34.73	17.1
35.53	19.2
47.05	22.0
49.46	20.3
50.39	17.3
51.35	20.4

Cell and atoms:
```
19
Lattice="5.0336 0.0000 0.0000 -0.7479 5.8504 0.0000 -0.0301 -0.8512 7.7489" Properties=species:S:1:pos:R:3 pbc="T T T"
Mg 0.0000 0.0000 0.0000
Mn -0.3623 2.8689 0.0284
Mn -0.0856 0.6084 4.8880
Mn 2.2196 1.6226 2.4698
Mn 1.8091 5.8038 0.0682
Mn 2.0814 3.3385 5.2296
Mn 4.1591 4.5531 2.7226
O 0.9581 0.2894 3.3364
O 0.7342 2.0485 5.8945
O 1.3424 1.3610 0.7190
O 2.9402 3.6139 6.9796
O 3.7109 0.1093 1.5039
O 3.5118 2.9667 1.8349
O 3.2973 4.7218 4.4139
F 0.3759 4.5209 1.0162
F 0.5490 4.8719 6.2604
F 1.0952 3.2484 3.5078
F 3.1980 1.7298 4.2403
F 3.8785 0.4472 6.6480
```

***

Starting from DFT lattice parameters and positions (GGA+U), the powder X-ray diffraction pattern of Lu6MgWO12 was simulated for a wavelength of 1.5418 Å.
Kinematic intensities with the Lorentz-polarization factor, no thermal factor.

Largest 10 diffraction maxima, sorted by position, 2θ = 5–70°:
2θ/deg	intensity
25.27	48.3
27.77	11.5
30.43	100.0
31.81	16.9
33.87	53.8
45.35	29.8
51.78	24.1
55.76	11.4
58.47	19.7
61.26	12.6

Cell and atoms:
```
20
Lattice="4.6709 2.6967 3.5242 -4.6709 2.6967 3.5242 0.0000 -5.3935 3.5242" Properties=species:S:1:pos:R:3 pbc="T T T"
Lu -2.4103 -2.3926 4.9537
Lu -3.2772 0.8910 5.6188
Lu 0.8669 -3.2837 5.6188
Lu -0.8669 3.2837 4.9537
Lu 3.2772 -0.8911 4.9537
Lu 2.4103 2.3926 5.6188
Mg 0.0000 0.0000 0.0000
W 0.0000 0.0000 5.2863
O -4.0446 -1.1670 5.7565
O -1.0117 -4.0862 4.8160
O -1.8087 -0.2277 4.2399
O -3.0329 2.9193 4.8160
O -0.7071 -1.6803 6.3326
O 1.1016 -1.4526 4.2399
O -1.1016 1.4525 6.3326
O 0.7072 1.6803 4.2399
O 3.0329 -2.9193 5.7565
O 1.8087 0.2277 6.3326
O 1.0117 4.0862 5.7565
O 4.0446 1.1670 4.8160
```

***

Starting from DFT lattice parameters and positions (GGA+U), the powder X-ray diffraction pattern of Fe4O5F3 was simulated for a wavelength of 1.5418 Å.
Kinematic intensities with the Lorentz-polarization factor, no thermal factor.

Largest 10 diffraction maxima, sorted by position, 2θ = 5–70°:
2θ/deg	intensity
26.41	100.0
27.32	99.1
34.90	55.4
35.07	51.8
40.38	16.1
52.55	28.0
53.45	43.0
54.36	16.8
56.37	16.7
60.46	17.5

Cell and atoms:
```
24
Lattice="4.7051 0.0000 0.0000 -0.1760 5.6071 0.0000 -0.0971 -1.1264 10.2333" Properties=species:S:1:pos:R:3 pbc="T T T"
Fe 0.0000 0.0000 0.0000
Fe -0.1365 2.2404 5.1166
Fe 0.0134 0.5576 7.5770
Fe 1.8829 3.4190 7.7381
Fe 2.3040 -0.5632 5.1166
Fe 2.2645 2.8035 0.0000
Fe 2.5491 1.0617 2.4952
Fe 4.4186 3.9232 2.6563
O 0.7247 2.1839 6.8341
O 0.7767 0.4424 9.4011
O 0.7454 3.8533 4.3826
O 1.1727 3.2759 9.5138
O 1.3986 -0.6215 6.8185
O 3.0334 5.1022 3.4148
O 3.2594 1.2048 0.7195
O 3.6866 0.6274 5.8507
O 3.6554 4.0383 0.8322
O 3.7073 2.2968 3.3992
F 0.9315 -0.0491 1.8617
F 1.3611 1.0717 4.2771
F 1.3431 2.6827 1.8213
F 3.0889 1.7980 8.4120
F 3.0709 3.4090 5.9562
F 3.5006 4.5299 8.3716
```